1.
The following is a computed powder diffraction line list of As7Os. It was derived from a crystal structure in Alexandria, relaxed with PBE, using Cu Kα, 1.54184 Å.

```
data_As7Os
_chemical_formula_sum 'As7 Os1'
_cell_length_a 5.897
_cell_length_b 5.897
_cell_length_c 5.897
_cell_angle_alpha 60.00
_cell_angle_beta 60.00
_cell_angle_gamma 60.00
_symmetry_space_group_name_H-M 'P 1'
_symmetry_Int_Tables_number 1
loop_
_symmetry_equiv_pos_as_xyz
'x,y,z'
loop_
_atom_site_label
_atom_site_type_symbol
_atom_site_fract_x
_atom_site_fract_y
_atom_site_fract_z
_atom_site_occupancy
As1 As 0.000 0.000 0.000 1
As2 As 0.000 0.000 0.500 1
As3 As 0.000 0.500 0.000 1
As4 As 0.000 0.500 0.500 1
As5 As 0.500 0.000 0.000 1
As6 As 0.500 0.000 0.500 1
As7 As 0.500 0.500 0.000 1
Os1 Os 0.500 0.500 0.500 1
```

Main lines, in order of rising 2θ (5° ≤ 2θ ≤ 70°):
2θ = 18.43°, intensity 12.5
2θ = 21.31°, intensity 6.7
2θ = 30.32°, intensity 5.8
2θ = 35.71°, intensity 7.6
2θ = 37.35°, intensity 100.0
2θ = 43.40°, intensity 49.0
2θ = 47.53°, intensity 3.5
2θ = 48.84°, intensity 3.2
2θ = 53.86°, intensity 2.4
2θ = 57.42°, intensity 2.7
2θ = 63.06°, intensity 32.0
2θ = 66.31°, intensity 2.7

2.
The following is a computed powder diffraction line list of As5Os3. It was derived from a crystal structure in Alexandria, relaxed with PBE, using Cu Kα, 1.54184 Å.

```
data_As5Os3
_chemical_formula_sum 'As5 Os3'
_cell_length_a 5.580
_cell_length_b 5.580
_cell_length_c 4.346
_cell_angle_alpha 90.00
_cell_angle_beta 90.00
_cell_angle_gamma 109.27
_symmetry_space_group_name_H-M 'P 1'
_symmetry_Int_Tables_number 1
loop_
_symmetry_equiv_pos_as_xyz
'x,y,z'
loop_
_atom_site_label
_atom_site_type_symbol
_atom_site_fract_x
_atom_site_fract_y
_atom_site_fract_z
_atom_site_occupancy
As1 As 0.000 0.000 0.000 1
As2 As 0.000 0.500 0.000 1
As3 As 0.271 0.271 0.500 1
As4 As 0.500 0.000 0.000 1
As5 As 0.729 0.729 0.500 1
Os1 Os 0.269 0.731 0.500 1
Os2 Os 0.500 0.500 0.000 1
Os3 Os 0.731 0.269 0.500 1
```

Main lines, in order of rising 2θ (5° ≤ 2θ ≤ 70°):
2θ = 16.83°, intensity 14.9
2θ = 27.62°, intensity 8.4
2θ = 28.40°, intensity 14.1
2θ = 38.79°, intensity 6.1
2θ = 39.61°, intensity 24.3
2θ = 40.03°, intensity 100.0
2θ = 41.56°, intensity 23.3
2θ = 50.63°, intensity 3.4
2θ = 56.53°, intensity 3.9
2θ = 57.03°, intensity 8.8
2θ = 58.76°, intensity 15.3
2θ = 64.92°, intensity 3.3

3.
The following is a computed powder diffraction line list of AsOs. It was derived from a crystal structure in Alexandria, relaxed with PBE, using Cu Kα, 1.54184 Å.

```
data_AsOs
_chemical_formula_sum 'As2 Os2'
_cell_length_a 2.906
_cell_length_b 2.906
_cell_length_c 8.484
_cell_angle_alpha 90.00
_cell_angle_beta 90.00
_cell_angle_gamma 90.00
_symmetry_space_group_name_H-M 'P 1'
_symmetry_Int_Tables_number 1
loop_
_symmetry_equiv_pos_as_xyz
'x,y,z'
loop_
_atom_site_label
_atom_site_type_symbol
_atom_site_fract_x
_atom_site_fract_y
_atom_site_fract_z
_atom_site_occupancy
As1 As 0.250 0.250 0.202 1
As2 As 0.750 0.750 0.798 1
Os1 Os 0.250 0.250 0.611 1
Os2 Os 0.750 0.750 0.389 1
```

Main lines, in order of rising 2θ (5° ≤ 2θ ≤ 70°):
2θ = 10.43°, intensity 100.0
2θ = 20.94°, intensity 1.6
2θ = 32.57°, intensity 4.1
2θ = 37.51°, intensity 71.7
2θ = 42.62°, intensity 5.3
2θ = 44.06°, intensity 30.8
2θ = 44.71°, intensity 37.3
2θ = 45.41°, intensity 11.8
2θ = 54.04°, intensity 7.8
2θ = 62.97°, intensity 6.8
2θ = 64.08°, intensity 10.1
2θ = 65.12°, intensity 4.1

4.
The following is a computed powder diffraction line list of Pa4Te2AsOs. It was derived from a crystal structure in Alexandria, relaxed with PBE, using Cu Kα, 1.54184 Å.

```
data_Pa4Te2AsOs
_chemical_formula_sum 'Pa4 Te2 As1 Os1'
_cell_length_a 7.314
_cell_length_b 4.054
_cell_length_c 7.511
_cell_angle_alpha 90.00
_cell_angle_beta 107.77
_cell_angle_gamma 90.00
_symmetry_space_group_name_H-M 'P 1'
_symmetry_Int_Tables_number 1
loop_
_symmetry_equiv_pos_as_xyz
'x,y,z'
loop_
_atom_site_label
_atom_site_type_symbol
_atom_site_fract_x
_atom_site_fract_y
_atom_site_fract_z
_atom_site_occupancy
Pa1 Pa 0.223 0.000 0.207 1
Pa2 Pa 0.251 0.500 0.784 1
Pa3 Pa 0.749 0.500 0.216 1
Pa4 Pa 0.777 0.000 0.793 1
Te1 Te 0.000 0.000 0.500 1
Te2 Te 0.500 0.500 0.500 1
As1 As 0.500 0.000 0.000 1
Os1 Os 0.000 0.500 0.000 1
```

Main lines, in order of rising 2θ (5° ≤ 2θ ≤ 70°):
2θ = 12.37°, intensity 11.0
2θ = 26.55°, intensity 10.3
2θ = 29.85°, intensity 51.3
2θ = 30.07°, intensity 100.0
2θ = 38.66°, intensity 10.3
2θ = 41.34°, intensity 16.9
2θ = 42.46°, intensity 32.7
2θ = 43.31°, intensity 39.4
2θ = 44.70°, intensity 18.5
2θ = 52.56°, intensity 10.1
2θ = 54.69°, intensity 19.3
2θ = 62.51°, intensity 10.1

5.
The following is a computed powder diffraction line list of SbAsOs3. It was derived from a crystal structure in Alexandria, relaxed with PBE, using Cu Kα, 1.54184 Å.

```
data_SbAsOs3
_chemical_formula_sum 'Sb1 As1 Os3'
_cell_length_a 4.590
_cell_length_b 4.590
_cell_length_c 4.590
_cell_angle_alpha 90.00
_cell_angle_beta 90.00
_cell_angle_gamma 90.00
_symmetry_space_group_name_H-M 'P 1'
_symmetry_Int_Tables_number 1
loop_
_symmetry_equiv_pos_as_xyz
'x,y,z'
loop_
_atom_site_label
_atom_site_type_symbol
_atom_site_fract_x
_atom_site_fract_y
_atom_site_fract_z
_atom_site_occupancy
Sb1 Sb 0.000 0.000 0.000 1
As1 As 0.500 0.500 0.500 1
Os1 Os 0.000 0.500 0.500 1
Os2 Os 0.500 0.000 0.500 1
Os3 Os 0.500 0.500 0.000 1
```

Main lines, in order of rising 2θ (5° ≤ 2θ ≤ 70°):
2θ = 19.34°, intensity 16.7
2θ = 33.82°, intensity 100.0
2θ = 39.26°, intensity 79.2
2θ = 44.12°, intensity 8.2
2θ = 56.72°, intensity 54.5
2θ = 60.51°, intensity 4.1
2θ = 67.70°, intensity 41.0

6.
The following is a computed powder diffraction line list of AsOsSe2. It was derived from a crystal structure in Alexandria, relaxed with PBE, using Cu Kα, 1.54184 Å.

```
data_AsOsSe2
_chemical_formula_sum 'As1 Os1 Se2'
_cell_length_a 4.553
_cell_length_b 4.553
_cell_length_c 6.434
_cell_angle_alpha 108.04
_cell_angle_beta 108.04
_cell_angle_gamma 47.37
_symmetry_space_group_name_H-M 'P 1'
_symmetry_Int_Tables_number 1
loop_
_symmetry_equiv_pos_as_xyz
'x,y,z'
loop_
_atom_site_label
_atom_site_type_symbol
_atom_site_fract_x
_atom_site_fract_y
_atom_site_fract_z
_atom_site_occupancy
As1 As 0.000 0.000 0.000 1
Os1 Os 0.707 0.707 0.019 1
Se1 Se 0.129 0.129 0.708 1
Se2 Se 0.306 0.306 0.310 1
```

Main lines, in order of rising 2θ (5° ≤ 2θ ≤ 70°):
2θ = 14.63°, intensity 100.0
2θ = 22.45°, intensity 47.0
2θ = 22.66°, intensity 29.8
2θ = 32.59°, intensity 61.5
2θ = 37.25°, intensity 46.3
2θ = 42.48°, intensity 21.8
2θ = 43.25°, intensity 19.1
2θ = 43.42°, intensity 23.9
2θ = 44.86°, intensity 50.1
2θ = 49.13°, intensity 29.9
2θ = 49.86°, intensity 17.6
2θ = 53.28°, intensity 20.2

7.
The following is a computed powder diffraction line list of SiAsOs. It was derived from a crystal structure in Alexandria, relaxed with PBE, using Cu Kα, 1.54184 Å.

```
data_SiAsOs
_chemical_formula_sum 'Si4 As4 Os4'
_cell_length_a 5.747
_cell_length_b 6.139
_cell_length_c 6.348
_cell_angle_alpha 90.00
_cell_angle_beta 116.74
_cell_angle_gamma 90.00
_symmetry_space_group_name_H-M 'P 1'
_symmetry_Int_Tables_number 1
loop_
_symmetry_equiv_pos_as_xyz
'x,y,z'
loop_
_atom_site_label
_atom_site_type_symbol
_atom_site_fract_x
_atom_site_fract_y
_atom_site_fract_z
_atom_site_occupancy
Si1 Si 0.153 0.145 0.302 1
Si2 Si 0.153 0.355 0.802 1
Si3 Si 0.847 0.645 0.198 1
Si4 Si 0.847 0.855 0.698 1
As1 As 0.334 0.605 0.151 1
As2 As 0.334 0.895 0.651 1
As3 As 0.666 0.105 0.349 1
As4 As 0.666 0.395 0.849 1
Os1 Os 0.255 0.501 0.488 1
Os2 Os 0.255 0.999 0.988 1
Os3 Os 0.745 0.001 0.012 1
Os4 Os 0.745 0.499 0.512 1
```

Main lines, in order of rising 2θ (5° ≤ 2θ ≤ 70°):
2θ = 21.33°, intensity 100.0
2θ = 29.09°, intensity 45.0
2θ = 31.56°, intensity 17.2
2θ = 34.46°, intensity 16.4
2θ = 35.01°, intensity 79.8
2θ = 43.46°, intensity 26.2
2θ = 46.14°, intensity 48.9
2θ = 47.22°, intensity 27.5
2θ = 47.36°, intensity 30.8
2θ = 47.49°, intensity 25.4
2θ = 50.54°, intensity 32.7
2θ = 55.10°, intensity 22.4

8.
The following is a computed powder diffraction line list of TcAsOs. It was derived from a crystal structure in Alexandria, relaxed with PBE, using Cu Kα, 1.54184 Å.

```
data_TcAsOs
_chemical_formula_sum 'Tc2 As2 Os2'
_cell_length_a 4.047
_cell_length_b 5.833
_cell_length_c 4.041
_cell_angle_alpha 90.00
_cell_angle_beta 90.00
_cell_angle_gamma 90.00
_symmetry_space_group_name_H-M 'P 1'
_symmetry_Int_Tables_number 1
loop_
_symmetry_equiv_pos_as_xyz
'x,y,z'
loop_
_atom_site_label
_atom_site_type_symbol
_atom_site_fract_x
_atom_site_fract_y
_atom_site_fract_z
_atom_site_occupancy
Tc1 Tc 0.000 0.140 0.250 1
Tc2 Tc 0.000 0.860 0.750 1
As1 As 0.248 0.500 0.500 1
As2 As 0.752 0.500 0.000 1
Os1 Os 0.500 0.142 0.750 1
Os2 Os 0.500 0.858 0.250 1
```

Main lines, in order of rising 2θ (5° ≤ 2θ ≤ 70°):
2θ = 15.19°, intensity 35.7
2θ = 21.96°, intensity 9.8
2θ = 26.83°, intensity 12.7
2θ = 34.94°, intensity 100.0
2θ = 44.37°, intensity 78.2
2θ = 44.82°, intensity 19.8
2θ = 46.72°, intensity 22.0
2θ = 47.60°, intensity 50.0
2θ = 55.28°, intensity 8.9
2θ = 57.30°, intensity 9.9
2θ = 65.26°, intensity 19.3
2θ = 66.74°, intensity 8.8

9.
The following is a computed powder diffraction line list of TcAsOs. It was derived from a crystal structure in Alexandria, relaxed with PBE, using Cu Kα, 1.54184 Å.

```
data_TcAsOs
_chemical_formula_sum 'Tc2 As2 Os2'
_cell_length_a 4.506
_cell_length_b 6.984
_cell_length_c 6.984
_cell_angle_alpha 23.88
_cell_angle_beta 90.00
_cell_angle_gamma 90.00
_symmetry_space_group_name_H-M 'P 1'
_symmetry_Int_Tables_number 1
loop_
_symmetry_equiv_pos_as_xyz
'x,y,z'
loop_
_atom_site_label
_atom_site_type_symbol
_atom_site_fract_x
_atom_site_fract_y
_atom_site_fract_z
_atom_site_occupancy
Tc1 Tc 0.000 0.000 0.000 1
Tc2 Tc 0.000 0.332 0.332 1
As1 As 0.000 0.658 0.658 1
As2 As 0.500 0.241 0.241 1
Os1 Os 0.500 0.565 0.565 1
Os2 Os 0.500 0.900 0.900 1
```

Main lines, in order of rising 2θ (5° ≤ 2θ ≤ 70°):
2θ = 12.96°, intensity 22.8
2θ = 19.70°, intensity 14.0
2θ = 23.65°, intensity 5.3
2θ = 36.84°, intensity 46.3
2θ = 37.56°, intensity 7.0
2θ = 39.57°, intensity 5.2
2θ = 40.01°, intensity 45.0
2θ = 42.12°, intensity 100.0
2θ = 44.58°, intensity 61.3
2θ = 55.51°, intensity 28.4
2θ = 64.50°, intensity 11.0
2θ = 70.00°, intensity 14.1

10.
The following is a computed powder diffraction line list of Th2AsOs. It was derived from a crystal structure in Alexandria, relaxed with PBE, using Cu Kα, 1.54184 Å.

```
data_Th2AsOs
_chemical_formula_sum 'Th4 As2 Os2'
_cell_length_a 7.281
_cell_length_b 7.281
_cell_length_c 7.281
_cell_angle_alpha 131.78
_cell_angle_beta 131.78
_cell_angle_gamma 70.57
_symmetry_space_group_name_H-M 'P 1'
_symmetry_Int_Tables_number 1
loop_
_symmetry_equiv_pos_as_xyz
'x,y,z'
loop_
_atom_site_label
_atom_site_type_symbol
_atom_site_fract_x
_atom_site_fract_y
_atom_site_fract_z
_atom_site_occupancy
Th1 Th 0.112 0.362 0.750 1
Th2 Th 0.362 0.112 0.250 1
Th3 Th 0.638 0.888 0.750 1
Th4 Th 0.888 0.638 0.250 1
As1 As 0.375 0.625 0.750 1
As2 As 0.625 0.375 0.250 1
Os1 Os 0.125 0.875 0.250 1
Os2 Os 0.875 0.125 0.750 1
```

Main lines, in order of rising 2θ (5° ≤ 2θ ≤ 70°):
2θ = 16.67°, intensity 11.1
2θ = 25.95°, intensity 11.9
2θ = 30.06°, intensity 100.0
2θ = 34.55°, intensity 3.9
2θ = 40.88°, intensity 4.7
2θ = 43.02°, intensity 75.0
2θ = 50.93°, intensity 5.3
2θ = 51.56°, intensity 4.9
2θ = 53.37°, intensity 26.3
2θ = 62.47°, intensity 12.2
2θ = 68.82°, intensity 1.9
2θ = 69.34°, intensity 2.1

11.
The following is a computed powder diffraction line list of UAs12Os4. It was derived from a crystal structure in Alexandria, relaxed with PBE, using Cu Kα, 1.54184 Å.

```
data_UAs12Os4
_chemical_formula_sum 'U1 As12 Os4'
_cell_length_a 7.454
_cell_length_b 7.454
_cell_length_c 7.454
_cell_angle_alpha 109.47
_cell_angle_beta 109.47
_cell_angle_gamma 109.47
_symmetry_space_group_name_H-M 'P 1'
_symmetry_Int_Tables_number 1
loop_
_symmetry_equiv_pos_as_xyz
'x,y,z'
loop_
_atom_site_label
_atom_site_type_symbol
_atom_site_fract_x
_atom_site_fract_y
_atom_site_fract_z
_atom_site_occupancy
U1 U 0.000 0.000 0.000 1
As1 As 0.149 0.345 0.494 1
As2 As 0.149 0.655 0.804 1
As3 As 0.196 0.851 0.345 1
As4 As 0.345 0.196 0.851 1
As5 As 0.345 0.494 0.149 1
As6 As 0.494 0.149 0.345 1
As7 As 0.506 0.851 0.655 1
As8 As 0.655 0.506 0.851 1
As9 As 0.655 0.804 0.149 1
As10 As 0.804 0.149 0.655 1
As11 As 0.851 0.345 0.196 1
As12 As 0.851 0.655 0.506 1
Os1 Os 0.000 0.000 0.500 1
Os2 Os 0.000 0.500 0.000 1
Os3 Os 0.500 0.000 0.000 1
Os4 Os 0.500 0.500 0.500 1
```

Main lines, in order of rising 2θ (5° ≤ 2θ ≤ 70°):
2θ = 14.55°, intensity 13.4
2θ = 20.64°, intensity 31.7
2θ = 29.35°, intensity 100.0
2θ = 32.91°, intensity 91.0
2θ = 36.15°, intensity 10.5
2θ = 39.16°, intensity 54.9
2θ = 41.99°, intensity 19.4
2θ = 47.22°, intensity 52.3
2θ = 52.05°, intensity 88.4
2θ = 54.35°, intensity 36.6
2θ = 60.88°, intensity 9.7
2θ = 69.01°, intensity 31.0

12.
The following is a computed powder diffraction line list of Zn2AsOs. It was derived from a crystal structure in Alexandria, relaxed with PBE, using Cu Kα, 1.54184 Å.

```
data_Zn2AsOs
_chemical_formula_sum 'Zn2 As1 Os1'
_cell_length_a 3.062
_cell_length_b 3.679
_cell_length_c 5.368
_cell_angle_alpha 90.00
_cell_angle_beta 90.00
_cell_angle_gamma 90.00
_symmetry_space_group_name_H-M 'P 1'
_symmetry_Int_Tables_number 1
loop_
_symmetry_equiv_pos_as_xyz
'x,y,z'
loop_
_atom_site_label
_atom_site_type_symbol
_atom_site_fract_x
_atom_site_fract_y
_atom_site_fract_z
_atom_site_occupancy
Zn1 Zn 0.000 0.000 0.000 1
Zn2 Zn 0.500 0.500 0.220 1
As1 As 0.000 0.000 0.519 1
Os1 Os 0.500 0.500 0.721 1
```

Main lines, in order of rising 2θ (5° ≤ 2θ ≤ 70°):
2θ = 16.52°, intensity 36.7
2θ = 24.19°, intensity 11.4
2θ = 29.43°, intensity 13.1
2θ = 33.70°, intensity 9.3
2θ = 38.24°, intensity 100.0
2θ = 41.65°, intensity 73.9
2θ = 41.91°, intensity 14.7
2θ = 44.91°, intensity 59.5
2θ = 49.55°, intensity 23.6
2θ = 51.65°, intensity 10.9
2θ = 60.46°, intensity 12.9
2θ = 69.08°, intensity 32.2